For Ba2UCuO6, a crystal structure in the Materials Project, relaxed with PBE gives the simulated powder XRD pattern in this record (copper Kα).
Intensities are scaled so that the largest is 100.

Principal peaks in the range 2θ = 15–90°, sorted by position:
2θ (°)	d (Å)	I (rel.)
18.1	4.901	28
29.2	3.053	100
30.8	2.904	44
44.1	2.053	25
50.9	1.795	21
53.8	1.704	37

Atomic structure:
Cell: 6.141 6.141 6.141 Å, 123.56 123.56 83.93°
Element x y z (fractional)
Ba 0.250 0.750 0.500
Ba 0.750 0.250 0.500
U 0.000 0.000 0.000
Cu 0.500 0.500 0.000
O 0.224 0.224 0.000
O 0.257 0.257 0.514
O 0.257 0.743 0.000
O 0.743 0.257 0.000
O 0.743 0.743 0.486
O 0.776 0.776 0.000